The following is a theoretical X-ray powder pattern of Ba2Bi6Rh. It was derived from the GGA-PBE geometry in Alexandria, using CuKα.
Intensities are scaled so that the largest is 100.

```
data_Ba2Bi6Rh
_chemical_formula_sum 'Ba2 Bi6 Rh1'
_symmetry_space_group_name_H-M 'P 1'
_symmetry_Int_Tables_number 1
_cell_length_a 7.3477
_cell_length_b 7.3477
_cell_length_c 6.2751
_cell_angle_alpha 90.00
_cell_angle_beta 90.00
_cell_angle_gamma 59.98
loop_
_symmetry_equiv_pos_as_xyz
'x,y,z'
loop_
_atom_site_label
_atom_site_type_symbol
_atom_site_fract_x
_atom_site_fract_y
_atom_site_fract_z
Ba1 Ba 0.1674 0.1674 0.2836
Ba2 Ba 0.8326 0.8326 0.7164
Bi1 Bi 0.1618 0.6700 0.2133
Bi2 Bi 0.3300 0.8382 0.7867
Bi3 Bi 0.3309 0.3309 0.7868
Bi4 Bi 0.6691 0.6691 0.2132
Bi5 Bi 0.6700 0.1618 0.2133
Bi6 Bi 0.8382 0.3300 0.7867
Rh1 Rh 0.5000 0.5000 0.5000
```

Top 10 peaks for 15 to 90 degrees two-theta, by angle:
| Position (°2θ) | d_spacing | I (rel.) |
| --- | --- | --- |
| 28.05 | 3.181 | 17 |
| 28.45 | 3.138 | 20 |
| 31.53 | 2.838 | 100 |
| 40.38 | 2.234 | 24 |
| 49.63 | 1.837 | 22 |
| 52.35 | 1.748 | 16 |
| 58.20 | 1.585 | 17 |
| 60.00 | 1.542 | 16 |
| 65.83 | 1.419 | 6 |
| 81.50 | 1.181 | 14 |